No. 1
# Hf3Al7Pd2
Calculated X-ray diffraction stick pattern, copper Kα. Input: a GGA-PBE-relaxed structure.
Intensities are scaled so that the largest is 100.

Atomic structure:
a = 8.8772 Å, b = 8.8772 Å, c = 8.8772 Å
α = 34.66°, β = 34.66°, γ = 34.66°
Atoms (fractional coordinates):
Hf 0.0000 0.0000 0.0000
Hf 0.1443 0.1443 0.1443
Hf 0.8557 0.8557 0.8557
Al 0.0765 0.5864 0.5864
Al 0.4136 0.4136 0.9235
Al 0.4136 0.9235 0.4136
Al 0.5000 0.5000 0.5000
Al 0.5864 0.0765 0.5864
Al 0.5864 0.5864 0.0765
Al 0.9235 0.4136 0.4136
Pd 0.3345 0.3345 0.3345
Pd 0.6655 0.6655 0.6655

Main lines, by intensity (5° ≤ 2θ ≤ 70°):
d (Å), intensity
2.233, 100
2.644, 83
4.168, 41
2.817, 35
4.505, 26
1.433, 24
1.410, 21
2.582, 17
2.280, 17
1.527, 16
3.694, 14
1.558, 12

No. 2
# Hf2TiAl5Pd2
Calculated X-ray diffraction stick pattern, copper Kα. Input: a GGA-PBE-relaxed structure.
Intensities are scaled so that the largest is 100.

Atomic structure:
a = 9.1387 Å, b = 9.1387 Å, c = 4.0873 Å
α = 90.00°, β = 90.00°, γ = 90.00°
Atoms (fractional coordinates):
Hf 0.1804 0.3196 0.0000
Hf 0.3196 0.8196 0.0000
Hf 0.6804 0.1804 0.0000
Hf 0.8196 0.6804 0.0000
Ti 0.0000 0.0000 0.0000
Ti 0.5000 0.5000 0.0000
Al 0.0000 0.5000 0.5000
Al 0.0567 0.7950 0.5000
Al 0.2050 0.0567 0.5000
Al 0.2950 0.5567 0.5000
Al 0.4433 0.2950 0.5000
Al 0.5000 0.0000 0.5000
Al 0.5567 0.7050 0.5000
Al 0.7050 0.4433 0.5000
Al 0.7950 0.9433 0.5000
Al 0.9433 0.2050 0.5000
Pd 0.1182 0.6182 0.0000
Pd 0.3818 0.1182 0.0000
Pd 0.6182 0.8818 0.0000
Pd 0.8818 0.3818 0.0000

Main lines, by intensity (5° ≤ 2θ ≤ 70°):
d (Å), intensity
4.087, 100
2.360, 91
2.154, 75
2.890, 55
2.216, 53
2.535, 43
1.502, 43
6.462, 39
2.044, 38
1.948, 36
3.046, 25
3.454, 19